1.
The following is a calculated XRD peak list of Ce5Sn2SbN. It was derived from DFT lattice parameters and positions (GGA-PBE), using Cu Kα (λ = 1.5418 Å).

Most intense lines, 5 to 70 degrees two-theta, in order of rising 2θ:
- 26.6 deg, I 44, (1 1 0)
- 27.8 deg, I 54, (1 1 1)
- 30.9 deg, I 100, (0 0 4)
- 35.5 deg, I 98, (1 1 3)
- 38.0 deg, I 74, (2 0 0)
- 49.8 deg, I 50, (2 0 4)
- 54.9 deg, I 27, (2 2 0)
- 62.6 deg, I 39, (1 1 7)
- 64.3 deg, I 39, (2 2 4)
- 67.1 deg, I 31, (3 1 3)

Structure:
abc: 4.732 4.732 11.577
angles: 90.00 90.00 90.00
Fractional coordinates of all 9 atoms:
Ce 0.000 0.000 0.000
Ce 0.000 0.500 0.500
Ce 0.500 0.000 0.500
Ce 0.500 0.500 0.270
Ce 0.500 0.500 0.730
Sn 0.000 0.000 0.291
Sn 0.000 0.000 0.709
Sb 0.500 0.500 0.000
N 0.500 0.500 0.500

2.
The following is a calculated XRD peak list of Ce2USbN2. It was derived from DFT lattice parameters and positions (GGA-PBE), using Cu Kα (λ = 1.5418 Å).

Most intense lines, 5 to 70 degrees two-theta, in order of rising 2θ:
- 13.4 deg, I 14, (0 0 1)
- 24.4 deg, I 4, (1 0 1)
- 28.8 deg, I 71, (1 1 0)
- 34.0 deg, I 100, (1 0 2)
- 41.2 deg, I 32, (2 0 0)
- 54.5 deg, I 52, (2 1 2)
- 55.7 deg, I 6, (0 0 4)
- 59.7 deg, I 11, (2 2 0)
- 63.9 deg, I 15, (1 1 4)
- 67.7 deg, I 13, (3 1 0)

Structure:
abc: 4.379 4.379 6.603
angles: 90.00 90.00 90.00
Fractional coordinates of all 6 atoms:
Ce 0.000 0.000 0.238
Ce 0.000 0.000 0.762
U 0.500 0.500 0.000
Sb 0.500 0.500 0.500
N 0.000 0.500 0.000
N 0.500 0.000 0.000